# 1
Theoretical X-ray diffraction stick pattern
Compound: ReMoRu4
Radiation: Cu Kα
Structure: a PBE-relaxed structure
Kinematic intensities with the Lorentz-polarization factor, no thermal factor.

Atomic structure:
Lattice parameters (Å, degrees): 2.7567 4.3730 7.2799 90.00 100.86 90.00
Space group Pm (No. 6)
One atom of each set of equivalent atoms:
1 Re 0.0000 0.0000 0.0000 [1 per cell]
2 Mo 0.2196 0.5000 0.4451 [1 per cell]
3 Ru 0.3337 0.0000 0.6682 [1 per cell]
4 Ru 0.5514 0.5000 0.1056 [1 per cell]
5 Ru 0.6670 0.0000 0.3355 [1 per cell]
6 Ru 0.8883 0.5000 0.7798 [1 per cell]

The 10 most intense peaks (2θ = 10–90°), low angle first:
| h k l | two_theta | Rel. int. |
| --- | --- | --- |
| 0 0 1 | 12.38 | 7 |
| 0 0 3 | 37.71 | 25 |
| 0 2 0 | 41.29 | 25 |
| 1 1 1 | 43.20 | 100 |
| 0 2 3 | 57.15 | 15 |
| 2 0 -1 | 68.05 | 11 |
| 1 3 1 | 76.60 | 18 |
| 2 2 -1 | 82.81 | 13 |
| 1 2 -5 | 82.90 | 6 |
| 2 1 -4 | 84.10 | 10 |

# 2
Theoretical X-ray diffraction stick pattern
Compound: B5C3
Radiation: Cu Kα
Structure: a PBE-relaxed structure
Kinematic intensities with the Lorentz-polarization factor, no thermal factor.

Atomic structure:
Lattice parameters (Å, degrees): 3.8433 3.8433 7.7837 90.00 90.00 90.00
Space group I-42m (No. 121)
One atom of each set of equivalent atoms:
1 B 0.0000 0.0000 0.0000 [2 per cell]
2 B 0.2211 0.2211 0.6430 [8 per cell]
3 C 0.0000 0.0000 0.5000 [2 per cell]
4 C 0.0000 0.5000 0.2500 [4 per cell]

The 10 most intense peaks (2θ = 10–90°), low angle first:
| h k l | two_theta | Rel. int. |
| --- | --- | --- |
| 0 0 2 | 22.85 | 7 |
| 1 0 1 | 25.85 | 7 |
| 1 1 2 | 40.48 | 100 |
| 2 1 1 | 54.69 | 2 |
| 1 1 4 | 58.32 | 2 |
| 2 0 4 | 68.64 | 25 |
| 2 2 0 | 69.13 | 13 |
| 1 1 6 | 82.37 | 7 |
| 3 1 2 | 83.29 | 15 |
| 3 0 3 | 84.31 | 1 |

# 3
Theoretical X-ray diffraction stick pattern
Compound: Nd12Ag6Hg
Radiation: Cu Kα
Structure: a PBE-relaxed structure
Kinematic intensities with the Lorentz-polarization factor, no thermal factor.

Atomic structure:
Lattice parameters (Å, degrees): 14.9182 14.9182 8.2625 90.00 90.00 120.00
Space group R-3 (No. 148, hexagonal axes)
One atom of each set of equivalent atoms:
1 Nd 0.0049 0.8617 0.3375 [18 per cell]
2 Nd 0.0623 0.5613 0.6758 [18 per cell]
3 Ag 0.0231 0.2759 0.3259 [18 per cell]
4 Hg 0.0000 0.0000 0.0000 [3 per cell]

The 10 most intense peaks (2θ = 10–90°), low angle first:
| h k l | two_theta | Rel. int. |
| --- | --- | --- |
| 1 3 1 | 27.13 | 8 |
| 3 2 1 | 32.08 | 100 |
| 0 0 3 | 32.51 | 35 |
| 5 -3 2 | 37.34 | 66 |
| 1 7 0 | 53.55 | 20 |
| 3 2 4 | 54.11 | 24 |
| 10 -6 1 | 63.81 | 10 |
| 8 -1 3 | 64.06 | 23 |
| 5 -3 5 | 64.57 | 13 |
| 6 4 2 | 67.10 | 9 |